# NpMnCu2O6
Calculated powder X-ray diffraction pattern, Cu Ka. Input: a cell relaxed with PBE+U.

Cell and atoms:
```
10
Lattice="2.658 1.534 4.941 -2.658 1.534 4.941 0.000 -3.069 4.941" Properties=species:S:1:pos:R:3 pbc="T T T"
Np 0.000 0.000 0.000
Mn 0.000 0.000 7.412
Cu 0.000 0.000 3.713
Cu 0.000 0.000 11.110
O -0.749 -1.575 6.172
O -1.739 -0.139 8.651
O -0.990 1.436 6.172
O 0.990 -1.436 8.651
O 1.739 0.139 6.172
O 0.749 1.575 8.651
```

Largest 6 diffraction maxima, by angle, 10 to 90 degrees two-theta:
two_theta, intensity
20.20, 49.3
22.74, 30.3
30.98, 100.0
33.72, 65.3
46.44, 36.8
58.61, 33.6